Record 1
# DyTh3H8
Simulated XRD peak list, copper Kα. Input: a cell relaxed with PBE.
Kinematic intensities with the Lorentz-polarization factor, no thermal factor.

Structure:
```
DyTh3H8
1.0
5.3912 0.0000 0.0000
0.0000 5.3912 0.0000
0.0000 0.0000 5.3912
Dy Th H
1 3 8
direct
0.0000 0.0000 0.0000
0.0000 0.5000 0.5000
0.5000 0.0000 0.5000
0.5000 0.5000 0.0000
0.2426 0.2426 0.2426
0.2426 0.2426 0.7574
0.2426 0.7574 0.2426
0.2426 0.7574 0.7574
0.7574 0.2426 0.2426
0.7574 0.2426 0.7574
0.7574 0.7574 0.2426
0.7574 0.7574 0.7574
```

Peak list (10 most intense, 2θ = 15–90°, low angle first)
16.44 deg, 5.391 Å, I = 1; 28.68 deg, 3.113 Å, I = 100; 33.24 deg, 2.696 Å, I = 50; 47.71 deg, 1.906 Å, I = 39; 56.62 deg, 1.626 Å, I = 46; 59.39 deg, 1.556 Å, I = 13; 69.78 deg, 1.348 Å, I = 6; 77.12 deg, 1.237 Å, I = 19; 79.51 deg, 1.206 Å, I = 18; 88.94 deg, 1.100 Å, I = 14

---

Record 2
# Rb2TbCeS4
Simulated XRD peak list, copper Kα. Input: a cell relaxed with PBE.
Kinematic intensities with the Lorentz-polarization factor, no thermal factor.

Structure:
```
Rb2TbCeS4
1.0
7.2341 0.0000 0.0000
0.0000 4.1762 0.0000
-2.4060 0.0000 7.6833
Rb Tb Ce S
2 1 1 4
direct
0.0000 0.0000 0.0000
0.5000 0.5000 0.0000
0.0000 0.5000 0.5000
0.5000 0.0000 0.5000
0.2246 0.0000 0.6931
0.2616 0.5000 0.3050
0.7384 0.5000 0.6950
0.7754 0.0000 0.3069
```

Peak list (10 most intense, 2θ = 15–90°, low angle first)
23.15 deg, 3.842 Å, I = 22; 25.82 deg, 3.451 Å, I = 44; 29.15 deg, 3.063 Å, I = 100; 40.01 deg, 2.254 Å, I = 36; 43.33 deg, 2.088 Å, I = 34; 46.73 deg, 1.944 Å, I = 14; 49.69 deg, 1.835 Å, I = 18; 53.08 deg, 1.725 Å, I = 18; 66.09 deg, 1.414 Å, I = 13; 70.84 deg, 1.330 Å, I = 15

---

Record 3
# Nd2ZrAl4Pd3
Simulated XRD peak list, copper Kα. Input: a cell relaxed with PBE.
Kinematic intensities with the Lorentz-polarization factor, no thermal factor.

Structure:
```
Nd2ZrAl4Pd3
1.0
4.2813 0.0000 0.0000
0.0000 4.2813 0.0000
0.0000 0.0000 11.2112
Nd Zr Al Pd
2 1 4 3
direct
0.0000 0.5000 0.2418
0.5000 0.0000 0.7582
0.0000 0.0000 0.5000
0.0000 0.0000 0.0000
0.0000 0.5000 0.6570
0.5000 0.0000 0.3430
0.5000 0.5000 0.0000
0.0000 0.5000 0.8783
0.5000 0.0000 0.1217
0.5000 0.5000 0.5000
```

Peak list (10 most intense, 2θ = 15–90°, low angle first)
29.51 deg, 3.027 Å, I = 21; 30.59 deg, 2.923 Å, I = 35; 31.78 deg, 2.815 Å, I = 79; 33.65 deg, 2.664 Å, I = 100; 42.22 deg, 2.141 Å, I = 57; 45.67 deg, 1.986 Å, I = 30; 53.81 deg, 1.704 Å, I = 42; 61.23 deg, 1.514 Å, I = 19; 63.94 deg, 1.456 Å, I = 22; 71.72 deg, 1.316 Å, I = 22

---

Record 4
# TbErW2N6
Simulated XRD peak list, copper Kα. Input: a cell relaxed with PBE.
Kinematic intensities with the Lorentz-polarization factor, no thermal factor.

Structure:
```
TbErW2N6
1.0
5.5442 -4.7902 0.0000
5.5442 4.7902 0.0000
-2.2947 0.0000 5.8226
Tb Er W N
2 2 4 12
direct
0.2091 0.7909 0.7500
0.7909 0.2091 0.2500
0.4114 0.5886 0.2500
0.5886 0.4114 0.7500
0.1193 0.3003 0.7327
0.3003 0.1193 0.2327
0.6997 0.8807 0.7673
0.8807 0.6997 0.2673
0.1263 0.6094 0.3372
0.1363 0.1503 0.4385
0.1503 0.1363 0.9385
0.2828 0.4987 0.8491
0.3906 0.8737 0.1628
0.4987 0.2828 0.3491
0.5013 0.7172 0.6509
0.6094 0.1263 0.8372
0.7172 0.5013 0.1509
0.8497 0.8637 0.0615
0.8637 0.8497 0.5615
0.8737 0.3906 0.6628
```

Peak list (10 most intense, 2θ = 15–90°, low angle first)
26.17 deg, 3.405 Å, I = 100; 27.56 deg, 3.237 Å, I = 32; 30.71 deg, 2.911 Å, I = 52; 31.60 deg, 2.831 Å, I = 21; 32.92 deg, 2.721 Å, I = 43; 34.64 deg, 2.589 Å, I = 21; 34.78 deg, 2.579 Å, I = 20; 37.14 deg, 2.421 Å, I = 22; 47.54 deg, 1.913 Å, I = 22; 50.08 deg, 1.821 Å, I = 23

---

Record 5
# NdZn5PdAu2
Simulated XRD peak list, copper Kα. Input: a cell relaxed with PBE.
Kinematic intensities with the Lorentz-polarization factor, no thermal factor.

Structure:
```
NdZn5PdAu2
1.0
4.9175 0.0000 0.0000
0.0000 4.9175 0.0000
0.0000 0.0000 7.4954
Nd Zn Pd Au
1 5 1 2
direct
0.0000 0.0000 0.0000
0.0000 0.5000 0.3109
0.0000 0.5000 0.6891
0.5000 0.0000 0.3109
0.5000 0.0000 0.6891
0.5000 0.5000 0.0000
0.0000 0.0000 0.5000
0.5000 0.5000 0.3199
0.5000 0.5000 0.6801
```

Peak list (10 most intense, 2θ = 15–90°, low angle first)
18.04 deg, 4.918 Å, I = 24; 25.62 deg, 3.477 Å, I = 46; 29.98 deg, 2.981 Å, I = 63; 35.94 deg, 2.498 Å, I = 29; 36.55 deg, 2.459 Å, I = 100; 40.50 deg, 2.227 Å, I = 26; 47.96 deg, 1.897 Å, I = 35; 52.20 deg, 1.752 Å, I = 45; 52.64 deg, 1.739 Å, I = 35; 65.40 deg, 1.427 Å, I = 25

---

Record 6
# CuNi3Rh
Simulated XRD peak list, copper Kα. Input: a cell relaxed with PBE.
Kinematic intensities with the Lorentz-polarization factor, no thermal factor.

Structure:
```
CuNi3Rh
1.0
4.4461 0.0000 0.0000
0.0000 4.2027 0.0000
-2.1735 0.0000 6.3695
Cu Ni Rh
2 6 2
direct
0.1695 0.2500 0.0086
0.8305 0.7500 0.9914
0.2404 0.7500 0.8048
0.3725 0.2500 0.3996
0.4368 0.7500 0.1972
0.5632 0.2500 0.8028
0.6275 0.7500 0.6004
0.7596 0.2500 0.1952
0.0366 0.7500 0.3938
0.9634 0.2500 0.6062
```

Peak list (10 most intense, 2θ = 15–90°, low angle first)
40.63 deg, 2.220 Å, I = 21; 40.96 deg, 2.203 Å, I = 14; 43.04 deg, 2.101 Å, I = 41; 46.24 deg, 1.963 Å, I = 100; 46.54 deg, 1.951 Å, I = 44; 60.68 deg, 1.526 Å, I = 12; 60.93 deg, 1.521 Å, I = 8; 81.18 deg, 1.185 Å, I = 17; 89.35 deg, 1.097 Å, I = 9; 89.91 deg, 1.091 Å, I = 9